Computed powder XRD pattern of NaFe2Mo2O10 for λ = 1.5418 Å (Cu Kα), from a cell relaxed with PBE+U.

Structural model:
Unit cell a=9.962 b=5.977 c=8.170 alpha=90.00 beta=116.69 gamma=90.00
Space group C2/m (No. 12)
Asymmetric unit:
1 Na 0.000 0.000 0.000 x2
2 Fe 0.250 0.250 0.500 x4
3 Mo 0.073 0.500 0.764 x4
4 O 0.043 0.259 0.255 x8
5 O 0.159 0.500 0.597 x4
6 O 0.184 0.000 0.580 x4
7 O 0.223 0.500 0.981 x4

The 10 most intense peaks (2θ = 10–90°), low angle first:
2θ 12.13, intensity 48.6
2θ 17.88, intensity 100.0
2θ 18.94, intensity 29.6
2θ 23.58, intensity 86.2
2θ 26.45, intensity 67.2
2θ 27.77, intensity 56.2
2θ 30.83, intensity 49.8
2θ 35.17, intensity 58.4
2θ 38.28, intensity 27.6
2θ 51.44, intensity 43.9